Calculated X-ray diffraction stick pattern
Compound: Zr4AlSiN2
Radiation: Cu Kα
Structure: a cell relaxed with GGA-PBE

```
8
Lattice="3.256 0.000 0.000 -1.628 2.820 0.000 0.000 0.000 13.951" Properties=species:S:1:pos:R:3 pbc="T T T"
Zr 0.000 0.000 2.096
Zr 0.000 0.000 11.855
Zr 0.000 1.880 4.670
Zr 0.000 1.880 9.281
Al 0.000 0.000 6.975
Si 0.000 1.880 0.000
N 1.628 0.940 3.398
N 1.628 0.940 10.553
```

Peak list (12 most intense, 2θ from 10° to 80°, sorted by position)
| d (Å) | I/Imax |
| --- | --- |
| 6.975 | 26 |
| 3.488 | 9 |
| 2.820 | 21 |
| 2.764 | 18 |
| 2.411 | 100 |
| 2.325 | 15 |
| 2.193 | 10 |
| 1.794 | 15 |
| 1.628 | 31 |
| 1.358 | 11 |
| 1.349 | 15 |
| 1.334 | 15 |

***

Calculated X-ray diffraction stick pattern
Compound: Tm2Mg17
Radiation: Cu Kα
Structure: a cell relaxed with GGA-PBE

```
19
Lattice="5.085 2.936 5.077 -5.085 2.936 5.077 0.000 -5.872 5.077" Properties=species:S:1:pos:R:3 pbc="T T T"
Tm 0.000 0.000 2.640
Tm 0.000 0.000 12.590
Mg -2.543 -1.468 5.077
Mg 0.000 -3.016 4.850
Mg -2.612 1.508 4.850
Mg -1.562 -2.705 7.615
Mg -3.123 0.000 7.615
Mg -2.612 -1.508 10.380
Mg 0.000 0.000 6.099
Mg -2.543 1.468 10.154
Mg 1.562 -2.705 7.615
Mg 0.000 2.936 5.077
Mg -1.562 2.705 7.615
Mg 0.000 0.000 9.131
Mg 2.612 1.508 4.850
Mg 3.123 0.000 7.615
Mg 1.562 2.705 7.615
Mg 2.612 -1.508 10.380
Mg 0.000 3.016 10.380
```

Peak list (12 most intense, 2θ from 10° to 80°, sorted by position)
| d (Å) | I/Imax |
| --- | --- |
| 5.761 | 19 |
| 5.083 | 41 |
| 3.593 | 49 |
| 2.936 | 30 |
| 2.879 | 16 |
| 2.541 | 100 |
| 2.505 | 18 |
| 1.921 | 16 |
| 1.797 | 28 |
| 1.607 | 18 |
| 1.467 | 20 |
| 1.271 | 17 |